# BeGaO2
Simulated powder diffraction line list, Cu Kα (weighted mean of Kα1 and Kα2). Input: a structure optimized by DFT (PBE).

Top 12 peaks for 2θ from 15° to 90°, in order of falling intensity:
| two_theta | intensity |
| --- | --- |
| 22.17 | 100 |
| 44.96 | 64 |
| 50.77 | 54 |
| 45.22 | 35 |
| 31.46 | 34 |
| 31.64 | 33 |
| 50.62 | 29 |
| 51.04 | 25 |
| 60.93 | 24 |
| 83.32 | 13 |
| 65.59 | 12 |
| 87.44 | 11 |

abc: 4.6392 4.6392 4.6392
angles: 104.89 104.39 119.64
Sites, in units of the cell vectors:
Be1 0.2500 0.2500 0.0000
Be2 0.7500 0.7500 0.0000
Ga1 0.2500 0.7500 0.5000
Ga2 0.7500 0.2500 0.5000
O1 0.1498 0.1511 0.3009
O2 0.3502 0.6511 0.0014
O3 0.6498 0.3489 0.9986
O4 0.8502 0.8489 0.6991